The following is a computed powder diffraction line list of V6GeW. It was derived from DFT lattice parameters and positions (PBE), using Cu Kα X-rays.
Intensities are scaled so that the largest is 100.

Peak list (12 most intense, 2θ from 10° to 90°, in order of rising 2θ)
(hkl)  2θ (°)  intensity
1 0 0  18.44  24
1 0 1  26.20  43
1 1 1  32.23  7
2 0 0  37.39  46
1 0 2  41.99  53
1 2 1  46.22  100
2 2 0  53.90  7
1 0 3  60.87  6
0 2 3  70.59  10
3 1 2  73.67  40
3 2 1  73.73  8
4 0 0  79.79  7

Crystal structure
```
data_V6GeW
_space_group_name_H-M_alt 'P 1'
_space_group_IT_number 1
_space_group_name_Hall 'P 1'
_cell_length_a 4.806
_cell_length_b 4.810
_cell_length_c 4.817
_cell_angle_alpha 90.00
_cell_angle_beta 90.00
_cell_angle_gamma 90.00
loop_
_atom_site_label
_atom_site_fract_x
_atom_site_fract_y
_atom_site_fract_z
V1 0.000 0.000 0.248
V2 0.000 0.000 0.752
V3 0.252 0.500 0.000
V4 0.500 0.248 0.500
V5 0.500 0.752 0.500
V6 0.748 0.500 0.000
Ge1 0.000 0.500 0.500
W1 0.500 0.000 0.000
```